# 1
This entry pairs a crystal structure of SnS2 with its theoretical powder XRD pattern. Radiation: CuKα. Structure: a cell relaxed with GGA-PBE.
No peak broadening, texture or thermal motion is included.

Structural model:
Cell lengths 5.993, 5.993, 9.973 Å; angles 90.00, 90.00, 90.00 degrees
Space group I-42d (No. 122)
One atom of each set of equivalent atoms:
Sn: 0.000 0.000 0.000 (multiplicity 4)
S: 0.243 0.250 0.125 (multiplicity 8)

The 12 most intense peaks (10 to 90 degrees two-theta), in order of rising 2θ:
(hkl)  d/Å  2theta  I (rel.)
1 0 1  5.137  17.26  100
1 1 2  3.229  27.63  83
1 0 3  2.907  30.76  23
2 1 1  2.588  34.66  34
2 2 0  2.119  42.68  23
2 1 3  2.086  43.37  20
2 0 4  1.916  47.44  34
3 1 2  1.771  51.60  29
3 2 1  1.639  56.10  10
1 1 6  1.547  59.76  9
3 1 6  1.250  76.19  10
4 2 4  1.180  81.56  14


# 2
This entry pairs a crystal structure of SnS2 with its theoretical powder XRD pattern. Radiation: CuKα. Structure: a cell relaxed with GGA-PBE.
No peak broadening, texture or thermal motion is included.

Structural model:
Cell lengths 10.523, 10.523, 10.523 Å; angles 90.00, 90.00, 90.00 degrees
Space group Fd-3m (No. 227, origin choice 2)
One atom of each set of equivalent atoms:
Sn: 0.000 0.000 0.000 (multiplicity 16)
S: 0.003 0.003 0.247 (multiplicity 32)

The 12 most intense peaks (10 to 90 degrees two-theta), in order of rising 2θ:
(hkl)  d/Å  2theta  I (rel.)
1 1 1  6.075  14.58  100
3 1 1  3.173  28.12  59
2 2 2  3.038  29.40  14
4 0 0  2.631  34.08  87
3 3 1  2.414  37.25  26
5 1 1  2.025  44.75  25
4 4 0  1.860  48.97  61
5 3 1  1.779  51.37  25
4 4 4  1.519  61.00  21
5 5 1  1.474  63.09  14
5 5 3  1.370  68.49  15
8 4 0  1.177  81.88  29


# 3
This entry pairs a crystal structure of SnS2 with its theoretical powder XRD pattern. Radiation: CuKα. Structure: a cell relaxed with GGA-PBE.
No peak broadening, texture or thermal motion is included.

Structural model:
Cell lengths 3.7008, 3.7008, 13.3282 Å; angles 90.00, 90.00, 120.00 degrees
Space group P6_3mc (No. 186)
One atom of each set of equivalent atoms:
Sn: 0.3333 0.6667 0.0000 (multiplicity 2)
S: 0.0000 0.0000 0.3891 (multiplicity 2)
S: 0.3333 0.6667 0.6108 (multiplicity 2)

The 12 most intense peaks (10 to 90 degrees two-theta), in order of rising 2θ:
(hkl)  d/Å  2theta  I (rel.)
0 0 2  6.664  13.29  100
1 0 1  3.116  28.65  39
1 0 2  2.888  30.96  26
1 0 3  2.599  34.51  51
1 0 4  2.310  38.99  15
1 0 5  2.049  44.19  30
1 1 0  1.850  49.24  21
1 1 2  1.783  51.24  20
1 0 7  1.637  56.19  9
2 0 3  1.507  61.52  10
1 1 8  1.238  77.02  10
2 1 5  1.103  88.70  9


# 4
This entry pairs a crystal structure of SnS2 with its theoretical powder XRD pattern. Radiation: CuKα. Structure: a cell relaxed with GGA-PBE.
No peak broadening, texture or thermal motion is included.

Structural model:
Cell lengths 3.6999, 3.6999, 6.9780 Å; angles 90.00, 90.00, 120.00 degrees
Space group P-3m1 (No. 164)
One atom of each set of equivalent atoms:
Sn: 0.0000 0.0000 0.0000 (multiplicity 1)
S: 0.3333 0.6667 0.2118 (multiplicity 2)

The 12 most intense peaks (10 to 90 degrees two-theta), in order of rising 2θ:
(hkl)  d/Å  2theta  I (rel.)
0 0 1  6.978  12.69  100
1 0 0  3.204  27.84  19
0 1 1  2.912  30.70  63
0 1 2  2.360  38.13  51
1 0 3  1.882  48.35  25
1 1 0  1.850  49.26  18
1 1 1  1.788  51.08  18
2 0 1  1.561  59.17  10
2 0 2  1.456  63.94  11
1 1 4  1.269  74.81  8
1 2 1  1.193  80.49  9
1 2 2  1.144  84.72  11